Starting from the GGA-PBE geometry in the Materials Project, the PXRD pattern of HoSbO4 was simulated for Cu Kα (λ = 1.5418 Å).
Neutral-atom scattering factors, no anomalous dispersion.

Cell and atoms:
a b c (Å): 5.3919 7.5626 7.6684
angles (deg): 81.00 87.89 89.17
Fractional positions:
1 Ho 0.2128 0.3906 0.3414
2 Ho 0.2583 0.8798 0.3630
3 Ho 0.7417 0.1202 0.6370
4 Ho 0.7872 0.6094 0.6586
5 Sb 0.2398 0.3049 0.8397
6 Sb 0.2708 0.8075 0.8320
7 Sb 0.7292 0.1925 0.1680
8 Sb 0.7602 0.6951 0.1603
9 O 0.0026 0.1194 0.3308
10 O 0.0445 0.3292 0.6156
11 O 0.0846 0.8123 0.0632
12 O 0.1242 0.5602 0.8350
13 O 0.3887 0.0597 0.8174
14 O 0.3994 0.2972 0.0736
15 O 0.4592 0.6206 0.3018
16 O 0.4765 0.8105 0.6065
17 O 0.5235 0.1895 0.3935
18 O 0.5408 0.3794 0.6982
19 O 0.6006 0.7028 0.9264
20 O 0.6113 0.9403 0.1826
21 O 0.8758 0.4398 0.1650
22 O 0.9154 0.1877 0.9368
23 O 0.9555 0.6708 0.3844
24 O 0.9974 0.8806 0.6692

Top 10 peaks for 10° ≤ 2θ ≤ 90°, sorted by position:
| 2θ/deg | d (Å) | I/Imax | h k l |
| --- | --- | --- | --- |
| 23.5 | 3.785 | 17.5 | 0 0 2 |
| 28.3 | 3.151 | 70.5 | 1 0 2 |
| 29.0 | 3.082 | 50.5 | 1 2 0 |
| 29.3 | 3.051 | 100.0 | 1 0 -2 |
| 30.3 | 2.947 | 18.2 | -1 2 1 |
| 30.9 | 2.894 | 18.7 | 0 2 2 |
| 33.3 | 2.694 | 32.1 | 2 0 0 |
| 36.3 | 2.473 | 19.0 | 0 2 -2 |
| 50.5 | 1.806 | 30.8 | 2 2 -2 |
| 55.2 | 1.665 | 15.1 | 1 -4 1 |